For TaMnNbO6, the PBE+U geometry in Alexandria gives the simulated X-ray powder pattern in this record (Cu Ka).
Peak positions follow from Bragg's law for the DFT cell and can differ from measured ones.

Structural model:
Lattice parameters (Å, degrees): 5.1458 14.6243 5.8808 90.00 90.00 90.00
Space group P2_12_12 (No. 18)
Inequivalent atoms, fractional coordinates:
1 Ta 0.0119 0.1637 0.4245 x4
2 Mn 0.0000 0.0000 0.9169 x2
3 Mn 0.0000 0.5000 0.4318 x2
4 Nb 0.0125 0.3388 0.9317 x4
5 O 0.1532 0.4192 0.1352 x4
6 O 0.1535 0.0824 0.6279 x4
7 O 0.1568 0.7566 0.1220 x4
8 O 0.1657 0.7455 0.6181 x4
9 O 0.1891 0.0997 0.1491 x4
10 O 0.1906 0.4005 0.6525 x4

Main lines, most intense first (2θ = 15–90°):
| index | 2theta | intensity |
| --- | --- | --- |
| 1 3 1 | 29.5 | 100 |
| 0 3 1 | 23.7 | 40 |
| 1 6 2 | 51.9 | 22 |
| 1 0 2 | 35.2 | 17 |
| 2 6 0 | 51.7 | 16 |
| 2 0 0 | 34.9 | 14 |